The following is a calculated PXRD pattern of NaPrHf4O12. It was derived from the GGA-PBE geometry in Alexandria, using Cu Kα, 1.54184 Å.
Neutral-atom scattering factors, no anomalous dispersion.

The 8 most intense peaks (2θ from 15° to 90°), in order of falling intensity:
| (hkl) | two_theta | intensity |
| --- | --- | --- |
| 2 2 0 | 30.99 | 100 |
| 0 0 2 | 21.97 | 66 |
| 0 2 2 | 31.27 | 49 |
| 2 4 2 | 55.49 | 43 |
| 2 0 0 | 21.58 | 33 |
| 0 0 4 | 44.81 | 29 |
| 4 2 2 | 54.96 | 22 |
| 1 1 1 | 18.89 | 17 |

```
data_NaPrHf4O12
_chemical_formula_sum 'Na2 Pr2 Hf8 O24'
_symmetry_space_group_name_H-M 'A m m 2'
_symmetry_Int_Tables_number 38
_cell_length_a 8.2344
_cell_length_b 8.0822
_cell_length_c 8.0972
_cell_angle_alpha 90.00
_cell_angle_beta 90.00
_cell_angle_gamma 90.00
loop_
_symmetry_equiv_pos_as_xyz
'x,y,z'
'-x,-y,z'
'-x,y,z'
'x,-y,z'
'x,y+1/2,z+1/2'
'-x,-y+1/2,z+1/2'
'-x,y+1/2,z+1/2'
'x,-y+1/2,z+1/2'
loop_
_atom_site_label
_atom_site_type_symbol
_atom_site_fract_x
_atom_site_fract_y
_atom_site_fract_z
_atom_site_occupancy
Na1 Na 0.0000 0.0000 0.0000 1
Pr1 Pr 0.5000 0.0000 0.4809 1
Hf1 Hf 0.2394 0.2461 0.7419 1
O1 O 0.0000 0.2077 0.2188 1
O2 O 0.2065 0.0000 0.7837 1
O3 O 0.2810 0.2169 0.4929 1
O4 O 0.3036 0.0000 0.2443 1
O5 O 0.5000 0.1962 0.7283 1
```



The following is a calculated PXRD pattern of Na2HfPtO4. It was derived from the GGA-PBE geometry in Alexandria, using Cu Kα, 1.54184 Å.
Neutral-atom scattering factors, no anomalous dispersion.

The 8 most intense peaks (2θ from 15° to 90°), in order of falling intensity:
| (hkl) | two_theta | intensity |
| --- | --- | --- |
| 1 0 1 | 20.66 | 100 |
| 1 1 2 | 35.80 | 76 |
| 2 0 0 | 30.26 | 50 |
| 3 1 2 | 57.42 | 45 |
| 2 1 1 | 36.92 | 41 |
| 2 2 0 | 43.33 | 26 |
| 2 1 3 | 56.10 | 14 |
| 3 2 1 | 58.21 | 13 |

```
data_Na2HfPtO4
_chemical_formula_sum 'Na4 Hf2 Pt2 O8'
_symmetry_space_group_name_H-M 'I -4'
_symmetry_Int_Tables_number 82
_cell_length_a 5.9065
_cell_length_b 5.9065
_cell_length_c 6.2726
_cell_angle_alpha 90.00
_cell_angle_beta 90.00
_cell_angle_gamma 90.00
loop_
_symmetry_equiv_pos_as_xyz
'x,y,z'
'y,-x,-z'
'-x,-y,z'
'-y,x,-z'
'x+1/2,y+1/2,z+1/2'
'y+1/2,-x+1/2,-z+1/2'
'-x+1/2,-y+1/2,z+1/2'
'-y+1/2,x+1/2,-z+1/2'
loop_
_atom_site_label
_atom_site_type_symbol
_atom_site_fract_x
_atom_site_fract_y
_atom_site_fract_z
_atom_site_occupancy
Na1 Na 0.0000 0.0000 0.0000 1
Na2 Na 0.0000 0.5000 0.2500 1
Hf1 Hf 0.0000 0.0000 0.5000 1
Pt1 Pt 0.0000 0.5000 0.7500 1
O1 O 0.1635 0.1943 0.7104 1
```



The following is a calculated PXRD pattern of NaHf2SbO8. It was derived from the GGA-PBE geometry in Alexandria, using Cu Kα, 1.54184 Å.
Neutral-atom scattering factors, no anomalous dispersion.

The 8 most intense peaks (2θ from 15° to 90°), in order of falling intensity:
| (hkl) | two_theta | intensity |
| --- | --- | --- |
| 1 1 2 | 32.21 | 100 |
| 2 0 0 | 26.28 | 63 |
| 0 2 0 | 25.73 | 61 |
| 1 1 0 | 18.31 | 44 |
| 2 2 0 | 37.11 | 43 |
| 1 3 2 | 49.63 | 42 |
| 3 1 2 | 50.25 | 38 |
| 3 3 2 | 63.83 | 23 |

```
data_NaHf2SbO8
_chemical_formula_sum 'Na2 Hf4 Sb2 O16'
_symmetry_space_group_name_H-M 'C m m m'
_symmetry_Int_Tables_number 65
_symmetry_space_group_name_Hall '-C 2 2'
_cell_length_a 6.7824
_cell_length_b 6.9241
_cell_length_c 6.7856
_cell_angle_alpha 90.00
_cell_angle_beta 90.00
_cell_angle_gamma 90.00
loop_
_atom_site_label
_atom_site_type_symbol
_atom_site_fract_x
_atom_site_fract_y
_atom_site_fract_z
_atom_site_occupancy
Na1 Na 0.0000 0.0000 0.0000 1
Hf1 Hf 0.0000 0.5000 0.2592 1
Sb1 Sb 0.0000 0.0000 0.5000 1
O1 O 0.0000 0.2986 0.5000 1
O2 O 0.0000 0.3394 0.0000 1
O3 O 0.1999 0.0000 0.2875 1
```



The following is a calculated PXRD pattern of NaHfUO6. It was derived from the GGA-PBE geometry in Alexandria, using Cu Kα, 1.54184 Å.
Neutral-atom scattering factors, no anomalous dispersion.

The 8 most intense peaks (2θ from 15° to 90°), in order of falling intensity:
| (hkl) | two_theta | intensity |
| --- | --- | --- |
| 2 0 2 | 28.55 | 100 |
| 0 2 2 | 27.42 | 90 |
| 1 2 1 | 26.33 | 88 |
| 0 0 4 | 32.43 | 65 |
| 2 2 4 | 46.52 | 51 |
| 2 1 1 | 27.21 | 43 |
| 2 4 2 | 54.19 | 35 |
| 1 2 3 | 35.09 | 31 |

```
data_NaHfUO6
_chemical_formula_sum 'Na4 Hf4 U4 O24'
_symmetry_space_group_name_H-M 'I m m a'
_symmetry_Int_Tables_number 74
_symmetry_space_group_name_Hall '-I 2b 2'
_cell_length_a 7.5863
_cell_length_b 8.0528
_cell_length_c 11.0421
_cell_angle_alpha 90.00
_cell_angle_beta 90.00
_cell_angle_gamma 90.00
loop_
_atom_site_label
_atom_site_type_symbol
_atom_site_fract_x
_atom_site_fract_y
_atom_site_fract_z
_atom_site_occupancy
Na1 Na 0.0000 0.2500 0.0188 1
Hf1 Hf 0.2500 0.2500 0.7500 1
U1 U 0.0000 0.0000 0.5000 1
O1 O 0.0000 0.2500 0.4379 1
O2 O 0.0000 0.2500 0.8156 1
O3 O 0.1915 0.0694 0.6188 1
```



Copy entry 1 word for word.
The following is a calculated PXRD pattern of NaPrHf4O12. It was derived from the GGA-PBE geometry in Alexandria, using Cu Kα, 1.54184 Å.
Neutral-atom scattering factors, no anomalous dispersion.

The 8 most intense peaks (2θ from 15° to 90°), in order of falling intensity:
| (hkl) | two_theta | intensity |
| --- | --- | --- |
| 2 2 0 | 30.99 | 100 |
| 0 0 2 | 21.97 | 66 |
| 0 2 2 | 31.27 | 49 |
| 2 4 2 | 55.49 | 43 |
| 2 0 0 | 21.58 | 33 |
| 0 0 4 | 44.81 | 29 |
| 4 2 2 | 54.96 | 22 |
| 1 1 1 | 18.89 | 17 |

```
data_NaPrHf4O12
_chemical_formula_sum 'Na2 Pr2 Hf8 O24'
_symmetry_space_group_name_H-M 'A m m 2'
_symmetry_Int_Tables_number 38
_cell_length_a 8.2344
_cell_length_b 8.0822
_cell_length_c 8.0972
_cell_angle_alpha 90.00
_cell_angle_beta 90.00
_cell_angle_gamma 90.00
loop_
_symmetry_equiv_pos_as_xyz
'x,y,z'
'-x,-y,z'
'-x,y,z'
'x,-y,z'
'x,y+1/2,z+1/2'
'-x,-y+1/2,z+1/2'
'-x,y+1/2,z+1/2'
'x,-y+1/2,z+1/2'
loop_
_atom_site_label
_atom_site_type_symbol
_atom_site_fract_x
_atom_site_fract_y
_atom_site_fract_z
_atom_site_occupancy
Na1 Na 0.0000 0.0000 0.0000 1
Pr1 Pr 0.5000 0.0000 0.4809 1
Hf1 Hf 0.2394 0.2461 0.7419 1
O1 O 0.0000 0.2077 0.2188 1
O2 O 0.2065 0.0000 0.7837 1
O3 O 0.2810 0.2169 0.4929 1
O4 O 0.3036 0.0000 0.2443 1
O5 O 0.5000 0.1962 0.7283 1
```